(1)
Structure and calculated powder diffraction line list of Ba2InSiRu (DFT lattice parameters and positions (GGA-PBE); Cu Kα (weighted mean of Kα1 and Kα2)).

Largest 12 diffraction maxima, in order of rising 2θ, 2θ = 5–70°:
13.87°, I 72
18.04°, I 33
26.81°, I 66
27.94°, I 100
31.32°, I 21
33.46°, I 29
36.56°, I 24
39.93°, I 38
46.63°, I 48
48.75°, I 25
55.24°, I 29
65.35°, I 17

Cell and atoms:
a b c (Å): 6.386 6.386 4.916
angles (deg): 90.00 90.00 90.00
Sites, in units of the cell vectors:
1 Ba 0.000 0.500 0.000
2 Ba 0.500 0.000 0.000
3 In 0.000 0.000 0.000
4 Si 0.500 0.500 0.500
5 Ru 0.000 0.000 0.500


(2)
Structure and calculated powder diffraction line list of Ba4InS5 (DFT lattice parameters and positions (GGA-PBE); Cu Kα (weighted mean of Kα1 and Kα2)).

Largest 12 diffraction maxima, in order of rising 2θ, 2θ = 5–70°:
24.24°, I 98
27.89°, I 49
28.15°, I 100
40.05°, I 72
40.23°, I 37
47.20°, I 18
47.53°, I 34
49.67°, I 38
63.71°, I 15
65.35°, I 15
65.75°, I 16
65.89°, I 16

Cell and atoms:
a b c (Å): 7.777 7.777 7.777
angles (deg): 99.74 99.74 131.42
Sites, in units of the cell vectors:
1 Ba 0.101 0.298 0.399
2 Ba 0.298 0.899 0.197
3 Ba 0.702 0.101 0.803
4 Ba 0.899 0.702 0.601
5 In 0.527 0.527 0.000
6 S 0.207 0.595 0.804
7 S 0.403 0.207 0.612
8 S 0.595 0.791 0.388
9 S 0.791 0.403 0.196
10 S 0.939 0.939 0.000


(3)
Structure and calculated powder diffraction line list of Ba2In2S5 (DFT lattice parameters and positions (GGA-PBE); Cu Kα (weighted mean of Kα1 and Kα2)).

Largest 12 diffraction maxima, in order of rising 2θ, 2θ = 5–70°:
9.21°, I 14
18.10°, I 13
23.33°, I 35
24.98°, I 44
25.23°, I 100
32.85°, I 24
34.44°, I 43
37.48°, I 16
38.09°, I 13
42.18°, I 17
44.15°, I 28
51.80°, I 13

Cell and atoms:
a b c (Å): 10.928 10.928 7.130
angles (deg): 109.04 109.04 40.84
Sites, in units of the cell vectors:
1 Ba 0.218 0.782 0.500
2 Ba 0.490 0.926 0.709
3 Ba 0.782 0.218 0.000
4 Ba 0.926 0.490 0.209
5 In 0.188 0.520 0.884
6 In 0.354 0.854 0.095
7 In 0.520 0.188 0.384
8 In 0.854 0.354 0.595
9 S 0.110 0.130 0.864
10 S 0.130 0.110 0.364
11 S 0.144 0.783 0.911
12 S 0.219 0.489 0.240
13 S 0.489 0.219 0.740
14 S 0.564 0.926 0.192
15 S 0.583 0.594 0.334
16 S 0.594 0.583 0.834
17 S 0.783 0.144 0.411
18 S 0.926 0.564 0.692


(4)
Structure and calculated powder diffraction line list of Ba3InS5 (DFT lattice parameters and positions (GGA-PBE); Cu Kα (weighted mean of Kα1 and Kα2)).

Largest 12 diffraction maxima, in order of rising 2θ, 2θ = 5–70°:
24.26°, I 93
24.37°, I 32
29.84°, I 100
32.31°, I 29
33.40°, I 22
38.85°, I 19
38.90°, I 21
42.82°, I 19
44.48°, I 24
47.98°, I 28
54.51°, I 16
61.90°, I 17

Cell and atoms:
a b c (Å): 9.453 9.453 9.453
angles (deg): 126.68 126.68 78.78
Sites, in units of the cell vectors:
1 Ba 0.157 0.657 0.814
2 Ba 0.250 0.250 0.000
3 Ba 0.343 0.157 0.500
4 Ba 0.657 0.843 0.500
5 Ba 0.750 0.750 0.000
6 Ba 0.843 0.343 0.186
7 In 0.250 0.750 0.500
8 In 0.750 0.250 0.500
9 S 0.000 0.000 0.000
10 S 0.015 0.200 0.500
11 S 0.200 0.700 0.185
12 S 0.300 0.485 0.500
13 S 0.485 0.985 0.185
14 S 0.500 0.500 0.000
15 S 0.515 0.015 0.815
16 S 0.700 0.515 0.500
17 S 0.800 0.300 0.815
18 S 0.985 0.800 0.500